Starting from a crystal structure in Alexandria, relaxed with PBE, the powder XRD pattern of YPaGa4 was simulated for copper Kα.

Cell and atoms:
```
data_YPaGa4
_chemical_formula_sum 'Y1 Pa1 Ga4'
_cell_length_a 7.859
_cell_length_b 7.859
_cell_length_c 7.859
_cell_angle_alpha 149.39
_cell_angle_beta 149.39
_cell_angle_gamma 43.84
_symmetry_space_group_name_H-M 'P 1'
_symmetry_Int_Tables_number 1
_symmetry_space_group_name_Hall 'P 1'
loop_
_atom_site_label
_atom_site_type_symbol
_atom_site_fract_x
_atom_site_fract_y
_atom_site_fract_z
Y1 Y 0.000 0.000 0.000
Pa1 Pa 0.750 0.250 0.500
Ga1 Ga 0.168 0.668 0.500
Ga2 Ga 0.332 0.832 0.500
Ga3 Ga 0.417 0.417 0.000
Ga4 Ga 0.583 0.583 0.000
```

Top 8 peaks for 2θ = 5–70°, low angle first:
2θ/deg, intensity
12.1, 20
28.3, 39
32.9, 100
37.7, 55
43.6, 39
48.9, 27
59.0, 29
67.6, 20

***

Starting from a crystal structure in Alexandria, relaxed with PBE, the powder XRD pattern of Pa6Zn2Ga was simulated for copper Kα.

Cell and atoms:
```
data_Pa6Zn2Ga
_chemical_formula_sum 'Pa6 Zn2 Ga1'
_cell_length_a 8.638
_cell_length_b 8.638
_cell_length_c 3.089
_cell_angle_alpha 90.00
_cell_angle_beta 90.00
_cell_angle_gamma 120.00
_symmetry_space_group_name_H-M 'P 1'
_symmetry_Int_Tables_number 1
_symmetry_space_group_name_Hall 'P 1'
loop_
_atom_site_label
_atom_site_type_symbol
_atom_site_fract_x
_atom_site_fract_y
_atom_site_fract_z
Pa1 Pa 0.000 0.296 0.000
Pa2 Pa 0.000 0.628 0.500
Pa3 Pa 0.296 0.000 0.000
Pa4 Pa 0.372 0.372 0.500
Pa5 Pa 0.628 0.000 0.500
Pa6 Pa 0.704 0.704 0.000
Zn1 Zn 0.333 0.667 0.000
Zn2 Zn 0.667 0.333 0.000
Ga1 Ga 0.000 0.000 0.500
```

Top 8 peaks for 2θ = 5–70°, low angle first:
2θ/deg, intensity
20.6, 28
31.6, 24
35.7, 100
36.0, 73
37.8, 18
51.6, 25
61.8, 17
64.6, 17

***

Starting from a crystal structure in Alexandria, relaxed with PBE, the powder XRD pattern of PaZnGa6 was simulated for copper Kα.

Cell and atoms:
```
data_PaZnGa6
_chemical_formula_sum 'Pa1 Zn1 Ga6'
_cell_length_a 6.150
_cell_length_b 6.150
_cell_length_c 4.390
_cell_angle_alpha 90.00
_cell_angle_beta 90.00
_cell_angle_gamma 112.58
_symmetry_space_group_name_H-M 'P 1'
_symmetry_Int_Tables_number 1
_symmetry_space_group_name_Hall 'P 1'
loop_
_atom_site_label
_atom_site_type_symbol
_atom_site_fract_x
_atom_site_fract_y
_atom_site_fract_z
Pa1 Pa 0.000 0.000 0.000
Zn1 Zn 0.500 0.500 0.000
Ga1 Ga 0.000 0.500 0.000
Ga2 Ga 0.207 0.793 0.500
Ga3 Ga 0.300 0.300 0.500
Ga4 Ga 0.500 0.000 0.000
Ga5 Ga 0.700 0.700 0.500
Ga6 Ga 0.793 0.207 0.500
```

Top 8 peaks for 2θ = 5–70°, low angle first:
2θ/deg, intensity
15.6, 19
25.6, 14
35.1, 28
35.8, 23
37.7, 100
41.1, 23
55.1, 15
64.7, 13

***

Starting from a crystal structure in Alexandria, relaxed with PBE, the powder XRD pattern of Pa3Zn3Ga8 was simulated for copper Kα.

Cell and atoms:
```
data_Pa3Zn3Ga8
_chemical_formula_sum 'Pa3 Zn3 Ga8'
_cell_length_a 8.195
_cell_length_b 8.195
_cell_length_c 8.195
_cell_angle_alpha 149.92
_cell_angle_beta 103.53
_cell_angle_gamma 84.31
_symmetry_space_group_name_H-M 'P 1'
_symmetry_Int_Tables_number 1
_symmetry_space_group_name_Hall 'P 1'
loop_
_atom_site_label
_atom_site_type_symbol
_atom_site_fract_x
_atom_site_fract_y
_atom_site_fract_z
Pa1 Pa 0.000 0.000 0.000
Pa2 Pa 0.278 0.278 0.000
Pa3 Pa 0.722 0.722 0.000
Zn1 Zn 0.348 0.500 0.848
Zn2 Zn 0.500 0.000 0.500
Zn3 Zn 0.652 0.500 0.152
Ga1 Ga 0.008 0.364 0.643
Ga2 Ga 0.149 0.855 0.294
Ga3 Ga 0.279 0.636 0.643
Ga4 Ga 0.438 0.145 0.294
Ga5 Ga 0.562 0.855 0.706
Ga6 Ga 0.721 0.364 0.357
Ga7 Ga 0.851 0.145 0.706
Ga8 Ga 0.992 0.636 0.357
```

Top 8 peaks for 2θ = 5–70°, low angle first:
2θ/deg, intensity
22.7, 44
33.9, 82
34.4, 68
35.4, 100
37.4, 95
42.5, 53
55.8, 47
69.2, 35

***

Starting from a crystal structure in Alexandria, relaxed with PBE, the powder XRD pattern of Pa3ZnGa was simulated for copper Kα.

Cell and atoms:
```
data_Pa3ZnGa
_chemical_formula_sum 'Pa12 Zn4 Ga4'
_cell_length_a 7.561
_cell_length_b 7.561
_cell_length_c 7.561
_cell_angle_alpha 90.00
_cell_angle_beta 90.00
_cell_angle_gamma 90.00
_symmetry_space_group_name_H-M 'P 1'
_symmetry_Int_Tables_number 1
_symmetry_space_group_name_Hall 'P 1'
loop_
_atom_site_label
_atom_site_type_symbol
_atom_site_fract_x
_atom_site_fract_y
_atom_site_fract_z
Pa1 Pa 0.040 0.125 0.787
Pa2 Pa 0.125 0.787 0.040
Pa3 Pa 0.213 0.540 0.375
Pa4 Pa 0.287 0.460 0.875
Pa5 Pa 0.375 0.213 0.540
Pa6 Pa 0.460 0.875 0.287
Pa7 Pa 0.540 0.375 0.213
Pa8 Pa 0.625 0.713 0.960
Pa9 Pa 0.713 0.960 0.625
Pa10 Pa 0.787 0.040 0.125
Pa11 Pa 0.875 0.287 0.460
Pa12 Pa 0.960 0.625 0.713
Zn1 Zn 0.179 0.179 0.179
Zn2 Zn 0.321 0.821 0.679
Zn3 Zn 0.679 0.321 0.821
Zn4 Zn 0.821 0.679 0.321
Ga1 Ga 0.071 0.929 0.429
Ga2 Ga 0.429 0.071 0.929
Ga3 Ga 0.571 0.571 0.571
Ga4 Ga 0.929 0.429 0.071
```

Top 8 peaks for 2θ = 5–70°, low angle first:
2θ/deg, intensity
26.4, 23
35.6, 100
37.6, 61
39.5, 15
51.3, 12
54.3, 16
62.7, 21
66.6, 23

***

Starting from a crystal structure in Alexandria, relaxed with PBE, the powder XRD pattern of Ga4Pb was simulated for copper Kα.

Cell and atoms:
```
data_Ga4Pb
_chemical_formula_sum 'Ga4 Pb1'
_cell_length_a 6.516
_cell_length_b 6.516
_cell_length_c 6.516
_cell_angle_alpha 141.09
_cell_angle_beta 141.09
_cell_angle_gamma 56.20
_symmetry_space_group_name_H-M 'P 1'
_symmetry_Int_Tables_number 1
_symmetry_space_group_name_Hall 'P 1'
loop_
_atom_site_label
_atom_site_type_symbol
_atom_site_fract_x
_atom_site_fract_y
_atom_site_fract_z
Ga1 Ga 0.110 0.110 0.000
Ga2 Ga 0.250 0.750 0.500
Ga3 Ga 0.750 0.250 0.500
Ga4 Ga 0.890 0.890 0.000
Pb1 Pb 0.500 0.500 0.000
```

Top 8 peaks for 2θ = 5–70°, low angle first:
2θ/deg, intensity
29.1, 20
31.1, 71
33.1, 100
41.6, 46
44.6, 39
52.9, 37
60.3, 20
62.6, 27

***

Starting from a crystal structure in Alexandria, relaxed with PBE, the powder XRD pattern of Ga2Pb7 was simulated for copper Kα.

Cell and atoms:
```
data_Ga2Pb7
_chemical_formula_sum 'Ga2 Pb7'
_cell_length_a 5.922
_cell_length_b 5.922
_cell_length_c 8.692
_cell_angle_alpha 90.00
_cell_angle_beta 90.00
_cell_angle_gamma 120.00
_symmetry_space_group_name_H-M 'P 1'
_symmetry_Int_Tables_number 1
_symmetry_space_group_name_Hall 'P 1'
loop_
_atom_site_label
_atom_site_type_symbol
_atom_site_fract_x
_atom_site_fract_y
_atom_site_fract_z
Ga1 Ga 0.333 0.667 0.000
Ga2 Ga 0.667 0.333 0.000
Pb1 Pb 0.000 0.000 0.000
Pb2 Pb 0.000 0.337 0.678
Pb3 Pb 0.000 0.663 0.322
Pb4 Pb 0.337 0.000 0.678
Pb5 Pb 0.337 0.337 0.322
Pb6 Pb 0.663 0.000 0.322
Pb7 Pb 0.663 0.663 0.678
```

Top 8 peaks for 2θ = 5–70°, low angle first:
2θ/deg, intensity
30.9, 34
31.9, 100
36.7, 66
52.2, 26
53.6, 23
61.9, 14
63.1, 27
63.8, 14

***

Starting from a crystal structure in Alexandria, relaxed with PBE, the powder XRD pattern of GaPb8 was simulated for copper Kα.

Cell and atoms:
```
data_GaPb8
_chemical_formula_sum 'Ga1 Pb8'
_cell_length_a 8.969
_cell_length_b 8.969
_cell_length_c 8.969
_cell_angle_alpha 92.26
_cell_angle_beta 92.26
_cell_angle_gamma 157.10
_symmetry_space_group_name_H-M 'P 1'
_symmetry_Int_Tables_number 1
_symmetry_space_group_name_Hall 'P 1'
loop_
_atom_site_label
_atom_site_type_symbol
_atom_site_fract_x
_atom_site_fract_y
_atom_site_fract_z
Ga1 Ga 0.000 0.000 0.000
Pb1 Pb 0.000 0.333 0.333
Pb2 Pb 0.000 0.667 0.667
Pb3 Pb 0.333 0.000 0.333
Pb4 Pb 0.341 0.341 0.683
Pb5 Pb 0.341 0.659 0.000
Pb6 Pb 0.659 0.341 0.000
Pb7 Pb 0.659 0.659 0.317
Pb8 Pb 0.667 0.000 0.667
```

Top 8 peaks for 2θ = 5–70°, low angle first:
2θ/deg, intensity
30.5, 61
33.2, 100
43.7, 23
51.3, 8
55.9, 45
60.9, 18
63.5, 7
69.6, 12